# 1
For KBe3Zn, a cell relaxed with GGA-PBE gives the calculated powder diffraction line list in this record (Cu Kα (weighted mean of Kα1 and Kα2)).
Peak positions follow from Bragg's law for the DFT cell and can differ from measured ones.

Top 10 peaks for 15° ≤ 2θ ≤ 90°, in order of rising 2θ:
2θ/deg	I_rel
20.02	14
28.46	100
40.69	28
45.75	7
50.40	38
58.90	17
62.86	3
66.69	15
74.05	6
81.14	17

Lattice parameters (Å, degrees): 4.4350 4.4350 4.4350 90.00 90.00 90.00
Fractional positions:
K: 0.0000 0.0000 0.0000
Be: 0.0000 0.5000 0.5000
Be: 0.5000 0.0000 0.5000
Be: 0.5000 0.5000 0.0000
Zn: 0.5000 0.5000 0.5000

***

# 2
For KZr2Be2, a cell relaxed with GGA-PBE gives the calculated powder diffraction line list in this record (Cu Kα (weighted mean of Kα1 and Kα2)).
Peak positions follow from Bragg's law for the DFT cell and can differ from measured ones.

Top 10 peaks for 15° ≤ 2θ ≤ 90°, in order of rising 2θ:
2θ/deg	I_rel
24.85	46
29.92	22
32.48	100
39.27	29
42.83	25
44.74	18
48.82	32
50.14	26
71.92	18
82.80	13

Lattice parameters (Å, degrees): 4.2232 4.2232 14.3345 90.00 90.00 90.00
Fractional positions:
K: 0.0000 0.0000 0.0000
K: 0.5000 0.5000 0.5000
Zr: 0.0000 0.5000 0.2500
Zr: 0.0000 0.5000 0.7500
Zr: 0.5000 0.0000 0.2500
Zr: 0.5000 0.0000 0.7500
Be: 0.0000 0.0000 0.3619
Be: 0.0000 0.0000 0.6381
Be: 0.5000 0.5000 0.1381
Be: 0.5000 0.5000 0.8619

***

# 3
For LaBe8, a cell relaxed with GGA-PBE gives the calculated powder diffraction line list in this record (Cu Kα (weighted mean of Kα1 and Kα2)).
Peak positions follow from Bragg's law for the DFT cell and can differ from measured ones.

Top 10 peaks for 15° ≤ 2θ ≤ 90°, in order of rising 2θ:
2θ/deg	I_rel
16.01	100
22.71	49
27.38	72
32.34	30
35.86	69
36.28	34
42.87	36
49.06	27
54.71	15
65.00	20

Lattice parameters (Å, degrees): 5.8191 5.8191 5.8191 95.44 95.44 144.15
Fractional positions:
La: 0.0000 0.0000 0.0000
Be: 0.0000 0.3626 0.3626
Be: 0.0000 0.6374 0.6374
Be: 0.2912 0.2912 0.5824
Be: 0.2912 0.7088 0.0000
Be: 0.3626 0.0000 0.3626
Be: 0.6374 0.0000 0.6374
Be: 0.7088 0.2912 0.0000
Be: 0.7088 0.7088 0.4176

***

# 4
For LiLa2Be, a cell relaxed with GGA-PBE gives the calculated powder diffraction line list in this record (Cu Kα (weighted mean of Kα1 and Kα2)).
Peak positions follow from Bragg's law for the DFT cell and can differ from measured ones.

Top 10 peaks for 15° ≤ 2θ ≤ 90°, in order of rising 2θ:
2θ/deg	I_rel
23.76	100
26.60	25
29.23	19
32.73	78
33.85	50
34.94	25
37.97	20
49.44	31
51.77	30
58.42	17

Lattice parameters (Å, degrees): 3.4843 4.7390 6.3522 90.00 105.85 90.00
Fractional positions:
Li: 0.0000 0.0000 0.0000
La: 0.4008 0.5000 0.8006
La: 0.7117 0.0000 0.4230
Be: 0.1134 0.5000 0.2280

***

# 5
For Li2LaBeO4, a cell relaxed with GGA-PBE gives the calculated powder diffraction line list in this record (Cu Kα (weighted mean of Kα1 and Kα2)).
Peak positions follow from Bragg's law for the DFT cell and can differ from measured ones.

Top 10 peaks for 15° ≤ 2θ ≤ 90°, in order of rising 2θ:
2θ/deg	I_rel
22.18	100
24.40	64
37.49	52
41.63	63
45.24	24
46.25	26
50.00	15
55.33	17
59.14	15
64.14	21

Lattice parameters (Å, degrees): 5.1595 5.1595 6.3674 90.00 90.00 90.00
Fractional positions:
Li: 0.0000 0.5000 0.2500
Li: 0.0000 0.5000 0.7500
Li: 0.5000 0.0000 0.2500
Li: 0.5000 0.0000 0.7500
La: 0.0000 0.0000 0.0000
La: 0.5000 0.5000 0.5000
Be: 0.0000 0.0000 0.5000
Be: 0.5000 0.5000 0.0000
O: 0.1894 0.1894 0.6449
O: 0.1894 0.8106 0.3551
O: 0.3106 0.3106 0.1449
O: 0.3106 0.6894 0.8551
O: 0.6894 0.3106 0.8551
O: 0.6894 0.6894 0.1449
O: 0.8106 0.1894 0.3551
O: 0.8106 0.8106 0.6449

***

# 6
For LaMgBeSn2, a cell relaxed with GGA-PBE gives the calculated powder diffraction line list in this record (Cu Kα (weighted mean of Kα1 and Kα2)).
Peak positions follow from Bragg's law for the DFT cell and can differ from measured ones.

Top 10 peaks for 15° ≤ 2θ ≤ 90°, in order of rising 2θ:
2θ/deg	I_rel
16.60	17
25.26	30
30.38	100
33.56	50
38.34	18
42.47	15
48.20	18
51.86	30
58.05	33
63.20	17

Lattice parameters (Å, degrees): 5.3399 5.3399 4.6954 90.00 90.00 90.00
Fractional positions:
La: 0.0000 0.0000 0.0000
Mg: 0.5000 0.5000 0.5000
Be: 0.5000 0.5000 0.0000
Sn: 0.0000 0.5000 0.5000
Sn: 0.5000 0.0000 0.5000